Nd2Y2CIBr4: computed PXRD pattern (CuKα), based on a structure optimized by DFT (PBE).

Atomic structure:
```
data_Nd2Y2CIBr4
_chemical_formula_sum 'Nd4 Y4 C2 I2 Br8'
_cell_length_a 18.114
_cell_length_b 3.907
_cell_length_c 8.544
_cell_angle_alpha 90.00
_cell_angle_beta 103.68
_cell_angle_gamma 90.00
_space_group_name_H-M_alt 'C 1 2/m 1'
_space_group_IT_number 12
_space_group_name_Hall '-C 2y'
loop_
_atom_site_label
_atom_site_type_symbol
_atom_site_fract_x
_atom_site_fract_y
_atom_site_fract_z
Nd1 Nd 0.143 0.000 0.074
Y1 Y 0.001 0.500 0.809
C1 C 0.000 0.000 0.000
I1 I 0.000 0.000 0.500
Br1 Br 0.161 0.500 0.340
Br2 Br 0.166 0.500 0.823
```

Top 12 peaks for 2θ from 10° to 90°, sorted by position:
- 10.66°, d = 8.301 Å, I = 30
- 16.32°, d = 5.431 Å, I = 15
- 20.49°, d = 4.335 Å, I = 16
- 28.13°, d = 3.172 Å, I = 24
- 30.47°, d = 2.933 Å, I = 45
- 30.82°, d = 2.901 Å, I = 29
- 31.02°, d = 2.883 Å, I = 100
- 36.26°, d = 2.477 Å, I = 15
- 42.31°, d = 2.136 Å, I = 16
- 44.04°, d = 2.056 Å, I = 56
- 46.49°, d = 1.953 Å, I = 18
- 56.61°, d = 1.626 Å, I = 15

***

Pr4CIBr4: computed PXRD pattern (CuKα), based on a structure optimized by DFT (PBE).

Atomic structure:
```
data_Pr4CIBr4
_chemical_formula_sum 'Pr8 C2 I2 Br8'
_cell_length_a 18.500
_cell_length_b 4.049
_cell_length_c 8.858
_cell_angle_alpha 90.00
_cell_angle_beta 103.67
_cell_angle_gamma 90.00
_space_group_name_H-M_alt 'C 1 2/m 1'
_space_group_IT_number 12
_space_group_name_Hall '-C 2y'
loop_
_atom_site_label
_atom_site_type_symbol
_atom_site_fract_x
_atom_site_fract_y
_atom_site_fract_z
Pr1 Pr 0.001 0.000 0.303
Pr2 Pr 0.141 0.500 0.573
C1 C 0.000 0.500 0.500
I1 I 0.000 0.500 0.000
Br1 Br 0.165 0.000 0.829
Br2 Br 0.171 0.000 0.339
```

Top 12 peaks for 2θ from 10° to 90°, sorted by position:
- 10.28°, d = 8.607 Å, I = 22
- 15.85°, d = 5.591 Å, I = 7
- 20.01°, d = 4.437 Å, I = 8
- 27.22°, d = 3.276 Å, I = 11
- 29.87°, d = 2.991 Å, I = 100
- 33.11°, d = 2.706 Å, I = 7
- 33.33°, d = 2.688 Å, I = 8
- 35.01°, d = 2.563 Å, I = 7
- 40.75°, d = 2.214 Å, I = 9
- 42.74°, d = 2.116 Å, I = 34
- 44.77°, d = 2.024 Å, I = 11
- 54.72°, d = 1.677 Å, I = 9

***

Pr2Sc2CI2Br3: computed PXRD pattern (CuKα), based on a structure optimized by DFT (PBE).

Atomic structure:
```
data_Pr2Sc2CI2Br3
_chemical_formula_sum 'Pr4 Sc4 C2 I4 Br6'
_cell_length_a 19.493
_cell_length_b 3.870
_cell_length_c 8.536
_cell_angle_alpha 90.00
_cell_angle_beta 101.68
_cell_angle_gamma 90.00
_space_group_name_H-M_alt 'C 1 2/m 1'
_space_group_IT_number 12
_space_group_name_Hall '-C 2y'
loop_
_atom_site_label
_atom_site_type_symbol
_atom_site_fract_x
_atom_site_fract_y
_atom_site_fract_z
Pr1 Pr 0.001 0.000 0.208
Sc1 Sc 0.118 0.500 0.056
C1 C 0.000 0.500 0.000
I1 I 0.166 0.000 0.839
Br1 Br 0.000 0.500 0.500
Br2 Br 0.159 0.000 0.290
```

Top 12 peaks for 2θ from 10° to 90°, sorted by position:
- 10.58°, d = 8.360 Å, I = 31
- 21.26°, d = 4.180 Å, I = 20
- 23.46°, d = 3.793 Å, I = 32
- 28.05°, d = 3.181 Å, I = 53
- 31.20°, d = 2.867 Å, I = 100
- 31.71°, d = 2.822 Å, I = 13
- 32.96°, d = 2.718 Å, I = 22
- 33.16°, d = 2.702 Å, I = 12
- 42.19°, d = 2.142 Å, I = 27
- 42.69°, d = 2.118 Å, I = 30
- 46.96°, d = 1.935 Å, I = 17
- 55.59°, d = 1.653 Å, I = 15

***

Pr2Sc2CI3Br2: computed PXRD pattern (CuKα), based on a structure optimized by DFT (PBE).

Atomic structure:
```
data_Pr2Sc2CI3Br2
_chemical_formula_sum 'Pr4 Sc4 C2 I6 Br4'
_cell_length_a 18.876
_cell_length_b 3.905
_cell_length_c 8.999
_cell_angle_alpha 90.00
_cell_angle_beta 102.99
_cell_angle_gamma 90.00
_space_group_name_H-M_alt 'C 1 2/m 1'
_space_group_IT_number 12
_space_group_name_Hall '-C 2y'
loop_
_atom_site_label
_atom_site_type_symbol
_atom_site_fract_x
_atom_site_fract_y
_atom_site_fract_z
Pr1 Pr 0.001 0.000 0.304
Sc1 Sc 0.123 0.500 0.557
C1 C 0.000 0.500 0.500
I1 I 0.000 0.500 0.000
I2 I 0.173 0.000 0.805
Br1 Br 0.165 0.000 0.374
```

Top 12 peaks for 2θ from 10° to 90°, sorted by position:
- 23.28°, d = 3.820 Å, I = 23
- 29.13°, d = 3.065 Å, I = 55
- 29.92°, d = 2.986 Å, I = 23
- 30.31°, d = 2.949 Å, I = 100
- 33.46°, d = 2.678 Å, I = 23
- 40.09°, d = 2.249 Å, I = 24
- 42.33°, d = 2.135 Å, I = 31
- 42.74°, d = 2.116 Å, I = 28
- 46.51°, d = 1.953 Å, I = 19
- 55.82°, d = 1.647 Å, I = 17
- 56.34°, d = 1.633 Å, I = 20
- 63.01°, d = 1.475 Å, I = 24

***

Pr2Sm2C2IBr4: computed PXRD pattern (CuKα), based on a structure optimized by DFT (PBE).

Atomic structure:
```
data_Pr2Sm2C2IBr4
_chemical_formula_sum 'Pr4 Sm4 C4 I2 Br8'
_cell_length_a 19.414
_cell_length_b 3.992
_cell_length_c 8.671
_cell_angle_alpha 90.00
_cell_angle_beta 104.68
_cell_angle_gamma 90.00
_space_group_name_H-M_alt 'C 1 2/m 1'
_space_group_IT_number 12
_space_group_name_Hall '-C 2y'
loop_
_atom_site_label
_atom_site_type_symbol
_atom_site_fract_x
_atom_site_fract_y
_atom_site_fract_z
Pr1 Pr 0.000 0.000 0.193
Sm1 Sm 0.156 0.500 0.096
C1 C 0.037 0.500 0.023
I1 I 0.000 0.500 0.500
Br1 Br 0.164 0.000 0.347
Br2 Br 0.170 0.000 0.849
```

Top 12 peaks for 2θ from 10° to 90°, sorted by position:
- 10.55°, d = 8.388 Å, I = 37
- 15.85°, d = 5.591 Å, I = 18
- 19.18°, d = 4.627 Å, I = 13
- 27.17°, d = 3.282 Å, I = 25
- 28.52°, d = 3.130 Å, I = 64
- 29.92°, d = 2.986 Å, I = 24
- 30.45°, d = 2.936 Å, I = 100
- 35.75°, d = 2.511 Å, I = 13
- 41.72°, d = 2.165 Å, I = 50
- 42.66°, d = 2.119 Å, I = 38
- 45.44°, d = 1.996 Å, I = 19
- 54.53°, d = 1.683 Å, I = 20

***

Pr2Sm2CI3Br2: computed PXRD pattern (CuKα), based on a structure optimized by DFT (PBE).

Atomic structure:
```
data_Pr2Sm2CI3Br2
_chemical_formula_sum 'Pr4 Sm4 C2 I6 Br4'
_cell_length_a 18.695
_cell_length_b 4.058
_cell_length_c 8.940
_cell_angle_alpha 90.00
_cell_angle_beta 102.49
_cell_angle_gamma 90.00
_space_group_name_H-M_alt 'C 1 2/m 1'
_space_group_IT_number 12
_space_group_name_Hall '-C 2y'
loop_
_atom_site_label
_atom_site_type_symbol
_atom_site_fract_x
_atom_site_fract_y
_atom_site_fract_z
Pr1 Pr 0.002 0.000 0.305
Sm1 Sm 0.136 0.500 0.564
C1 C 0.000 0.500 0.500
I1 I 0.000 0.500 0.000
I2 I 0.171 0.000 0.835
Br1 Br 0.171 0.000 0.346
```

Top 12 peaks for 2θ from 10° to 90°, sorted by position:
- 10.13°, d = 8.728 Å, I = 26
- 19.91°, d = 4.459 Å, I = 18
- 27.15°, d = 3.284 Å, I = 17
- 29.36°, d = 3.042 Å, I = 41
- 29.49°, d = 3.029 Å, I = 27
- 29.74°, d = 3.004 Å, I = 100
- 32.99°, d = 2.715 Å, I = 25
- 40.37°, d = 2.234 Å, I = 15
- 41.93°, d = 2.155 Å, I = 25
- 42.63°, d = 2.121 Å, I = 27
- 44.66°, d = 2.029 Å, I = 19
- 54.35°, d = 1.688 Å, I = 14

***

Pr2Sm2CI2Br3: computed PXRD pattern (CuKα), based on a structure optimized by DFT (PBE).

Atomic structure:
```
data_Pr2Sm2CI2Br3
_chemical_formula_sum 'Pr4 Sm4 C2 I4 Br6'
_cell_length_a 18.733
_cell_length_b 4.019
_cell_length_c 8.578
_cell_angle_alpha 90.00
_cell_angle_beta 101.84
_cell_angle_gamma 90.00
_space_group_name_H-M_alt 'C 1 2/m 1'
_space_group_IT_number 12
_space_group_name_Hall '-C 2y'
loop_
_atom_site_label
_atom_site_type_symbol
_atom_site_fract_x
_atom_site_fract_y
_atom_site_fract_z
Pr1 Pr 0.003 0.000 0.295
Sm1 Sm 0.135 0.500 0.565
C1 C 0.000 0.500 0.500
I1 I 0.169 0.000 0.847
Br1 Br 0.000 0.500 0.000
Br2 Br 0.171 0.000 0.338
```

Top 12 peaks for 2θ from 10° to 90°, sorted by position:
- 10.54°, d = 8.396 Å, I = 28
- 20.08°, d = 4.423 Å, I = 14
- 27.47°, d = 3.247 Å, I = 15
- 29.23°, d = 3.056 Å, I = 42
- 29.75°, d = 3.003 Å, I = 26
- 30.49°, d = 2.932 Å, I = 100
- 33.07°, d = 2.709 Å, I = 23
- 42.15°, d = 2.144 Å, I = 16
- 42.37°, d = 2.133 Å, I = 25
- 43.11°, d = 2.098 Å, I = 28
- 45.12°, d = 2.009 Å, I = 18
- 54.67°, d = 1.679 Å, I = 14

***

Pr2Y2CIBr4: computed PXRD pattern (CuKα), based on a structure optimized by DFT (PBE).

Atomic structure:
```
data_Pr2Y2CIBr4
_chemical_formula_sum 'Pr4 Y4 C2 I2 Br8'
_cell_length_a 18.127
_cell_length_b 3.967
_cell_length_c 8.915
_cell_angle_alpha 90.00
_cell_angle_beta 103.09
_cell_angle_gamma 90.00
_space_group_name_H-M_alt 'C 1 2/m 1'
_space_group_IT_number 12
_space_group_name_Hall '-C 2y'
loop_
_atom_site_label
_atom_site_type_symbol
_atom_site_fract_x
_atom_site_fract_y
_atom_site_fract_z
Pr1 Pr 0.001 0.000 0.303
Y1 Y 0.137 0.500 0.568
C1 C 0.000 0.500 0.500
I1 I 0.000 0.500 0.000
Br1 Br 0.169 0.000 0.807
Br2 Br 0.174 0.000 0.357
```

Top 12 peaks for 2θ from 10° to 90°, sorted by position:
- 10.02°, d = 8.828 Å, I = 32
- 10.19°, d = 8.683 Å, I = 26
- 20.41°, d = 4.351 Å, I = 10
- 30.18°, d = 2.962 Å, I = 100
- 30.37°, d = 2.943 Å, I = 37
- 33.99°, d = 2.638 Å, I = 15
- 37.88°, d = 2.375 Å, I = 10
- 40.48°, d = 2.228 Å, I = 11
- 43.03°, d = 2.102 Å, I = 22
- 43.63°, d = 2.074 Å, I = 23
- 45.74°, d = 1.984 Å, I = 17
- 55.89°, d = 1.645 Å, I = 15

***

Sm2Sc2CI3Br2: computed PXRD pattern (CuKα), based on a structure optimized by DFT (PBE).

Atomic structure:
```
data_Sm2Sc2CI3Br2
_chemical_formula_sum 'Sm4 Sc4 C2 I6 Br4'
_cell_length_a 20.305
_cell_length_b 3.857
_cell_length_c 8.699
_cell_angle_alpha 90.00
_cell_angle_beta 102.70
_cell_angle_gamma 90.00
_space_group_name_H-M_alt 'C 1 2/m 1'
_space_group_IT_number 12
_space_group_name_Hall '-C 2y'
loop_
_atom_site_label
_atom_site_type_symbol
_atom_site_fract_x
_atom_site_fract_y
_atom_site_fract_z
Sm1 Sm 0.000 0.000 0.195
Sc1 Sc 0.113 0.500 0.061
C1 C 0.000 0.500 0.000
I1 I 0.000 0.500 0.500
I2 I 0.158 0.000 0.850
Br1 Br 0.150 0.000 0.292
```

Top 12 peaks for 2θ from 10° to 90°, sorted by position:
- 10.42°, d = 8.486 Å, I = 27
- 20.91°, d = 4.248 Å, I = 20
- 23.50°, d = 3.786 Å, I = 27
- 27.01°, d = 3.301 Å, I = 52
- 30.98°, d = 2.887 Å, I = 100
- 32.50°, d = 2.755 Å, I = 16
- 38.95°, d = 2.312 Å, I = 16
- 39.49°, d = 2.282 Å, I = 16
- 41.49°, d = 2.176 Å, I = 37
- 41.65°, d = 2.169 Å, I = 24
- 47.12°, d = 1.929 Å, I = 17
- 55.15°, d = 1.665 Å, I = 16

***

Sm4CI2Br3: computed PXRD pattern (CuKα), based on a structure optimized by DFT (PBE).

Atomic structure:
```
data_Sm4CI2Br3
_chemical_formula_sum 'Sm8 C2 I4 Br6'
_cell_length_a 18.488
_cell_length_b 3.962
_cell_length_c 8.406
_cell_angle_alpha 90.00
_cell_angle_beta 101.85
_cell_angle_gamma 90.00
_space_group_name_H-M_alt 'C 1 2/m 1'
_space_group_IT_number 12
_space_group_name_Hall '-C 2y'
loop_
_atom_site_label
_atom_site_type_symbol
_atom_site_fract_x
_atom_site_fract_y
_atom_site_fract_z
Sm1 Sm 0.003 0.000 0.298
Sm2 Sm 0.137 0.500 0.566
C1 C 0.000 0.500 0.500
I1 I 0.167 0.000 0.854
Br1 Br 0.000 0.500 0.000
Br2 Br 0.170 0.000 0.328
```

Top 12 peaks for 2θ from 10° to 90°, sorted by position:
- 10.75°, d = 8.227 Å, I = 25
- 27.88°, d = 3.200 Å, I = 19
- 29.62°, d = 3.016 Å, I = 45
- 30.21°, d = 2.959 Å, I = 28
- 31.02°, d = 2.883 Å, I = 100
- 33.54°, d = 2.672 Å, I = 22
- 34.59°, d = 2.593 Å, I = 13
- 36.12°, d = 2.487 Å, I = 16
- 43.07°, d = 2.100 Å, I = 41
- 43.78°, d = 2.068 Å, I = 28
- 45.80°, d = 1.981 Å, I = 19
- 55.50°, d = 1.656 Å, I = 15

***

Sm4CI2Br3: computed PXRD pattern (CuKα), based on a structure optimized by DFT (PBE).

Atomic structure:
```
data_Sm4CI2Br3
_chemical_formula_sum 'Sm8 C2 I4 Br6'
_cell_length_a 18.838
_cell_length_b 3.950
_cell_length_c 8.367
_cell_angle_alpha 90.00
_cell_angle_beta 102.77
_cell_angle_gamma 90.00
_space_group_name_H-M_alt 'C 1 2/m 1'
_space_group_IT_number 12
_space_group_name_Hall '-C 2y'
loop_
_atom_site_label
_atom_site_type_symbol
_atom_site_fract_x
_atom_site_fract_y
_atom_site_fract_z
Sm1 Sm 0.000 0.000 0.204
Sm2 Sm 0.135 0.500 0.072
C1 C 0.000 0.500 0.000
I1 I 0.171 0.000 0.810
Br1 Br 0.000 0.500 0.500
Br2 Br 0.159 0.000 0.338
```

Top 12 peaks for 2θ from 10° to 90°, sorted by position:
- 10.84°, d = 8.160 Å, I = 45
- 27.78°, d = 3.212 Å, I = 14
- 29.16°, d = 3.062 Å, I = 45
- 30.26°, d = 2.954 Å, I = 16
- 31.14°, d = 2.872 Å, I = 100
- 32.44°, d = 2.760 Å, I = 19
- 33.32°, d = 2.689 Å, I = 39
- 36.46°, d = 2.464 Å, I = 12
- 39.17°, d = 2.300 Å, I = 14
- 43.20°, d = 2.094 Å, I = 68
- 45.96°, d = 1.975 Å, I = 19
- 55.36°, d = 1.659 Å, I = 16

***

Sm4C2I4Br: computed PXRD pattern (CuKα), based on a structure optimized by DFT (PBE).

Atomic structure:
```
data_Sm4C2I4Br
_chemical_formula_sum 'Sm8 C4 I8 Br2'
_cell_length_a 20.130
_cell_length_b 3.967
_cell_length_c 8.501
_cell_angle_alpha 90.00
_cell_angle_beta 103.36
_cell_angle_gamma 90.00
_space_group_name_H-M_alt 'C 1 2/m 1'
_space_group_IT_number 12
_space_group_name_Hall '-C 2y'
loop_
_atom_site_label
_atom_site_type_symbol
_atom_site_fract_x
_atom_site_fract_y
_atom_site_fract_z
Sm1 Sm 0.000 0.000 0.196
Sm2 Sm 0.150 0.500 0.089
C1 C 0.036 0.500 0.021
I1 I 0.160 0.000 0.373
I2 I 0.167 0.000 0.817
Br1 Br 0.000 0.500 0.500
```

Top 12 peaks for 2θ from 10° to 90°, sorted by position:
- 10.70°, d = 8.271 Å, I = 24
- 27.21°, d = 3.278 Å, I = 23
- 27.32°, d = 3.264 Å, I = 72
- 29.65°, d = 3.013 Å, I = 24
- 30.84°, d = 2.900 Å, I = 100
- 32.13°, d = 2.786 Å, I = 24
- 33.41°, d = 2.682 Å, I = 15
- 35.81°, d = 2.508 Å, I = 22
- 41.36°, d = 2.183 Å, I = 34
- 41.96°, d = 2.153 Å, I = 41
- 45.75°, d = 1.983 Å, I = 20
- 54.10°, d = 1.695 Å, I = 22

***

Sm4CIBr4: computed PXRD pattern (CuKα), based on a structure optimized by DFT (PBE).

Atomic structure:
```
data_Sm4CIBr4
_chemical_formula_sum 'Sm8 C2 I2 Br8'
_cell_length_a 18.126
_cell_length_b 3.954
_cell_length_c 8.683
_cell_angle_alpha 90.00
_cell_angle_beta 103.82
_cell_angle_gamma 90.00
_space_group_name_H-M_alt 'C 1 2/m 1'
_space_group_IT_number 12
_space_group_name_Hall '-C 2y'
loop_
_atom_site_label
_atom_site_type_symbol
_atom_site_fract_x
_atom_site_fract_y
_atom_site_fract_z
Sm1 Sm 0.001 0.000 0.306
Sm2 Sm 0.141 0.500 0.574
C1 C 0.000 0.500 0.500
I1 I 0.000 0.500 0.000
Br1 Br 0.166 0.000 0.829
Br2 Br 0.171 0.000 0.340
```

Top 12 peaks for 2θ from 10° to 90°, sorted by position:
- 10.05°, d = 8.801 Å, I = 29
- 10.49°, d = 8.432 Å, I = 43
- 27.85°, d = 3.204 Å, I = 19
- 30.50°, d = 2.931 Å, I = 69
- 30.58°, d = 2.923 Å, I = 100
- 34.10°, d = 2.629 Å, I = 14
- 35.78°, d = 2.509 Å, I = 13
- 38.67°, d = 2.328 Å, I = 19
- 41.61°, d = 2.171 Å, I = 14
- 43.72°, d = 2.071 Å, I = 55
- 45.91°, d = 1.977 Å, I = 19
- 56.10°, d = 1.639 Å, I = 15

***

Sm2Y2CIBr4: computed PXRD pattern (CuKα), based on a structure optimized by DFT (PBE).

Atomic structure:
```
data_Sm2Y2CIBr4
_chemical_formula_sum 'Sm4 Y4 C2 I2 Br8'
_cell_length_a 17.935
_cell_length_b 3.903
_cell_length_c 8.511
_cell_angle_alpha 90.00
_cell_angle_beta 103.65
_cell_angle_gamma 90.00
_space_group_name_H-M_alt 'C 1 2/m 1'
_space_group_IT_number 12
_space_group_name_Hall '-C 2y'
loop_
_atom_site_label
_atom_site_type_symbol
_atom_site_fract_x
_atom_site_fract_y
_atom_site_fract_z
Sm1 Sm 0.142 0.000 0.073
Y1 Y 0.001 0.500 0.809
C1 C 0.000 0.000 0.000
I1 I 0.000 0.000 0.500
Br1 Br 0.163 0.500 0.335
Br2 Br 0.169 0.500 0.830
```

Top 12 peaks for 2θ from 10° to 90°, sorted by position:
- 10.70°, d = 8.270 Å, I = 35
- 16.43°, d = 5.397 Å, I = 16
- 20.68°, d = 4.295 Å, I = 18
- 28.23°, d = 3.161 Å, I = 22
- 30.78°, d = 2.905 Å, I = 43
- 30.94°, d = 2.890 Å, I = 28
- 31.09°, d = 2.876 Å, I = 100
- 36.43°, d = 2.466 Å, I = 14
- 42.49°, d = 2.128 Å, I = 16
- 44.32°, d = 2.044 Å, I = 54
- 46.54°, d = 1.951 Å, I = 18
- 56.84°, d = 1.620 Å, I = 14